[1]
For Gd2Fe3, a cell relaxed with PBE gives the computed X-ray powder pattern in this record (CuKα).
Peak positions follow from Bragg's law for the DFT cell and can differ from measured ones.

Main lines, by angle (2θ = 10–90°):
Position (°2θ)	I (rel.)
23.39	16
31.49	82
34.96	100
36.16	15
38.58	23
40.93	47
42.56	41
43.90	22
56.09	24
64.26	17
65.45	18
68.58	16

Structural model:
a = 5.5103 Å, b = 5.5103 Å, c = 7.3999 Å
α = 90.00°, β = 90.00°, γ = 126.41°
Element x y z (fractional)
Gd (0.1603, 0.8397, 0.9028)
Gd (0.3397, 0.6603, 0.4028)
Gd (0.6603, 0.3397, 0.5972)
Gd (0.8397, 0.1603, 0.0972)
Fe (0.0000, 0.0000, 0.5000)
Fe (0.1667, 0.3333, 0.7500)
Fe (0.3333, 0.1667, 0.2500)
Fe (0.5000, 0.5000, 0.0000)
Fe (0.6667, 0.8333, 0.7500)
Fe (0.8333, 0.6667, 0.2500)

=====

[2]
For GdFe2GeP, a cell relaxed with PBE gives the computed X-ray powder pattern in this record (CuKα).
Peak positions follow from Bragg's law for the DFT cell and can differ from measured ones.

Main lines, by angle (2θ = 10–90°):
Position (°2θ)	I (rel.)
24.40	32
32.19	21
35.83	89
36.85	10
37.22	100
46.17	53
52.34	23
59.78	40
66.63	20
67.35	16
72.33	18
79.55	20

Structural model:
a = 5.6149 Å, b = 5.6149 Å, c = 5.6149 Å
α = 139.00°, β = 139.00°, γ = 59.37°
Element x y z (fractional)
Gd (0.0000, 0.0000, 0.0000)
Fe (0.2608, 0.7608, 0.5000)
Fe (0.7608, 0.2608, 0.5000)
Ge (0.6305, 0.6305, 0.0000)
P (0.3627, 0.3627, 0.0000)

=====

[3]
For SmGdFe2Ge4, a cell relaxed with PBE gives the computed X-ray powder pattern in this record (CuKα).
Peak positions follow from Bragg's law for the DFT cell and can differ from measured ones.

Main lines, by angle (2θ = 10–90°):
Position (°2θ)	I (rel.)
29.83	24
33.77	100
33.93	22
34.25	68
35.33	38
40.24	49
41.25	39
42.76	49
56.63	19
58.37	20
60.92	24
72.80	19

Structural model:
a = 4.3777 Å, b = 4.2296 Å, c = 8.1783 Å
α = 90.00°, β = 104.23°, γ = 90.00°
Element x y z (fractional)
Sm (0.0000, 0.0000, 0.0000)
Gd (0.7507, 0.5000, 0.5794)
Fe (0.2586, 0.0000, 0.4007)
Fe (0.4942, 0.5000, 0.1807)
Ge (0.0607, 0.5000, 0.2908)
Ge (0.3083, 0.0000, 0.6888)
Ge (0.4436, 0.5000, 0.8909)
Ge (0.6912, 0.0000, 0.2909)

=====

[4]
For GdHo2Fe2Ni7, a cell relaxed with PBE gives the computed X-ray powder pattern in this record (CuKα).
Peak positions follow from Bragg's law for the DFT cell and can differ from measured ones.

Main lines, by angle (2θ = 10–90°):
Position (°2θ)	I (rel.)
33.21	52
36.10	51
36.26	41
42.10	40
42.68	100
46.10	15
46.30	14
63.08	16
65.01	15
69.42	32
69.70	13
76.58	21

Structural model:
a = 8.5702 Å, b = 8.5702 Å, c = 8.5702 Å
α = 33.76°, β = 33.76°, γ = 33.76°
Element x y z (fractional)
Gd (0.0000, 0.0000, 0.0000)
Ho (0.1390, 0.1390, 0.1390)
Ho (0.8610, 0.8610, 0.8610)
Fe (0.3329, 0.3329, 0.3329)
Fe (0.6671, 0.6671, 0.6671)
Ni (0.0821, 0.5817, 0.5817)
Ni (0.4183, 0.4183, 0.9179)
Ni (0.4183, 0.9179, 0.4183)
Ni (0.5000, 0.5000, 0.5000)
Ni (0.5817, 0.0821, 0.5817)
Ni (0.5817, 0.5817, 0.0821)
Ni (0.9179, 0.4183, 0.4183)

=====

Please write out number 1 again, unchanged.
For Gd2Fe3, a cell relaxed with PBE gives the computed X-ray powder pattern in this record (CuKα).
Peak positions follow from Bragg's law for the DFT cell and can differ from measured ones.

Main lines, by angle (2θ = 10–90°):
Position (°2θ)	I (rel.)
23.39	16
31.49	82
34.96	100
36.16	15
38.58	23
40.93	47
42.56	41
43.90	22
56.09	24
64.26	17
65.45	18
68.58	16

Structural model:
a = 5.5103 Å, b = 5.5103 Å, c = 7.3999 Å
α = 90.00°, β = 90.00°, γ = 126.41°
Element x y z (fractional)
Gd (0.1603, 0.8397, 0.9028)
Gd (0.3397, 0.6603, 0.4028)
Gd (0.6603, 0.3397, 0.5972)
Gd (0.8397, 0.1603, 0.0972)
Fe (0.0000, 0.0000, 0.5000)
Fe (0.1667, 0.3333, 0.7500)
Fe (0.3333, 0.1667, 0.2500)
Fe (0.5000, 0.5000, 0.0000)
Fe (0.6667, 0.8333, 0.7500)
Fe (0.8333, 0.6667, 0.2500)